# 1
Starting from a structure optimized by DFT (GGA-PBE), the powder X-ray diffraction pattern of MgN3F12 was computed for Cu Kα X-rays.

Top 10 peaks for 10 to 90 degrees two-theta, by intensity:
2θ/deg	I (rel.)
17.08	100
25.92	39
42.31	32
23.52	23
13.82	18
28.01	17
27.85	17
45.06	17
17.35	12
36.76	12

abc: 11.2529 11.2529 11.2529
angles: 42.43 42.43 42.43
Atoms (fractional coordinates):
1 Mg 0.0000 0.0000 0.0000
2 Mg 0.5000 0.5000 0.5000
3 N 0.0278 0.8170 0.3883
4 N 0.3170 0.5278 0.8883
5 N 0.3883 0.0278 0.8170
6 N 0.5278 0.8883 0.3170
7 N 0.8170 0.3883 0.0278
8 N 0.8883 0.3170 0.5278
9 F 0.0215 0.1676 0.4730
10 F 0.0796 0.7324 0.1102
11 F 0.1102 0.0796 0.7324
12 F 0.1676 0.4730 0.0215
13 F 0.2324 0.5796 0.6102
14 F 0.2832 0.9001 0.9618
15 F 0.4001 0.7832 0.4618
16 F 0.4057 0.4297 0.9961
17 F 0.4297 0.9961 0.4057
18 F 0.4618 0.4001 0.7832
19 F 0.4730 0.0215 0.1676
20 F 0.4961 0.9297 0.9057
21 F 0.5215 0.9730 0.6676
22 F 0.5796 0.6102 0.2324
23 F 0.6102 0.2324 0.5796
24 F 0.6676 0.5215 0.9730
25 F 0.7324 0.1102 0.0796
26 F 0.7832 0.4618 0.4001
27 F 0.9001 0.9618 0.2832
28 F 0.9057 0.4961 0.9297
29 F 0.9297 0.9057 0.4961
30 F 0.9618 0.2832 0.9001
31 F 0.9730 0.6676 0.5215
32 F 0.9961 0.4057 0.4297

# 2
Starting from a structure optimized by DFT (GGA-PBE), the powder X-ray diffraction pattern of Mg4N2F was computed for Cu Kα X-rays.

Top 10 peaks for 10 to 90 degrees two-theta, by intensity:
2θ/deg	I (rel.)
33.76	100
39.77	67
16.70	50
38.00	49
56.17	47
52.35	39
57.50	34
32.63	26
71.01	20
72.97	18

abc: 6.5563 6.5563 6.5563
angles: 121.47 121.45 87.49
Atoms (fractional coordinates):
1 Mg 0.2550 0.2274 0.0277
2 Mg 0.2713 0.2356 0.4643
3 Mg 0.2713 0.8070 0.0357
4 Mg 0.3003 0.7726 0.5277
5 Mg 0.6997 0.2274 0.4723
6 Mg 0.7287 0.1930 0.9643
7 Mg 0.7287 0.7644 0.5357
8 Mg 0.7450 0.7726 0.9723
9 N 0.0000 0.0000 0.0000
10 N 0.5000 0.0000 0.0000
11 N 0.5000 0.0000 0.5000
12 N 0.5000 0.5000 0.5000
13 F 0.1904 0.4404 0.7500
14 F 0.8096 0.5596 0.2500

# 3
Starting from a structure optimized by DFT (GGA-PBE), the powder X-ray diffraction pattern of MgScN2F was computed for Cu Kα X-rays.

Top 10 peaks for 10 to 90 degrees two-theta, by intensity:
2θ/deg	I (rel.)
31.05	100
43.93	93
21.56	82
30.68	80
64.73	48
45.03	43
54.77	39
55.47	29
63.88	25
81.55	22

abc: 4.1218 4.1218 4.0265
angles: 90.00 90.00 90.00
Atoms (fractional coordinates):
1 Mg 0.0000 0.0000 0.0000
2 Sc 0.5000 0.5000 0.5000
3 N 0.0000 0.5000 0.5000
4 N 0.5000 0.0000 0.5000
5 F 0.5000 0.5000 0.0000

# 4
Starting from a structure optimized by DFT (GGA-PBE), the powder X-ray diffraction pattern of MgTiNF2 was computed for Cu Kα X-rays.

Top 10 peaks for 10 to 90 degrees two-theta, by intensity:
2θ/deg	I (rel.)
31.60	100
45.58	73
22.34	49
22.06	43
65.98	40
45.00	38
56.52	37
31.79	31
66.43	20
83.86	18

abc: 3.9804 3.9804 4.0289
angles: 90.00 90.00 90.00
Atoms (fractional coordinates):
1 Mg 0.0000 0.0000 0.0000
2 Ti 0.5000 0.5000 0.5000
3 N 0.5000 0.5000 0.0000
4 F 0.0000 0.5000 0.5000
5 F 0.5000 0.0000 0.5000